Theoretical X-ray powder pattern
Compound: CaCr2AsO6
Radiation: Cu Kα
Structure: a cell relaxed with PBE+U
Intensities are scaled so that the largest is 100.

Cell and atoms:
Cell: 5.184 5.213 5.635 Å, 64.72 89.53 60.49°
Sites, in units of the cell vectors:
Ca1 0.000 0.000 0.000
Cr1 0.214 0.576 0.615
Cr2 0.717 0.547 0.161
As1 0.530 0.942 0.569
O1 0.187 0.024 0.376
O2 0.336 0.101 0.801
O3 0.453 0.385 0.375
O4 0.567 0.524 0.821
O5 0.799 0.763 0.373
O6 0.905 0.742 0.819

The 6 most intense peaks (10° ≤ 2θ ≤ 80°), by angle:
d [Å]  intensity  hkl
2.914  100  1 0 1
2.878  96  1 1 -1
2.784  79  0 1 2
2.614  95  -1 1 1
2.604  77  1 2 1
2.592  77  2 1 0